No. 1
Starting from DFT lattice parameters and positions (GGA-PBE), the X-ray diffraction stick pattern of Y2In5Au3 was calculated for CuKα.
Neutral-atom scattering factors, no anomalous dispersion.

Largest 6 diffraction maxima, by angle, 10 to 80 degrees two-theta:
Position (°2θ), I (rel.)
23.02, 306
32.46, 1000
32.59, 521
39.26, 540
42.50, 294
43.39, 457

Structural model:
```
Y2In5Au3
1.0
2.2945 -13.5165 0.0000
2.2945 13.5165 0.0000
0.0000 0.0000 7.4718
Y In Au
4 10 6
direct
0.0207 0.9793 0.5000 Y
0.3245 0.6755 0.5444 Y
0.6755 0.3245 0.0444 Y
0.9793 0.0207 0.0000 Y
0.0994 0.9006 0.8618 In
0.2053 0.7947 0.7552 In
0.2069 0.7931 0.3354 In
0.3790 0.6210 0.0105 In
0.4470 0.5530 0.6630 In
0.5530 0.4470 0.1630 In
0.6210 0.3790 0.5105 In
0.7931 0.2069 0.8354 In
0.7947 0.2053 0.2552 In
0.9006 0.0994 0.3618 In
0.1076 0.8924 0.2481 Au
0.2742 0.7258 0.0451 Au
0.4555 0.5445 0.2772 Au
0.5445 0.4555 0.7772 Au
0.7258 0.2742 0.5451 Au
0.8924 0.1076 0.7481 Au
```

***

No. 2
Starting from DFT lattice parameters and positions (GGA-PBE), the X-ray diffraction stick pattern of Sr3Ge2SbAu6 was calculated for CuKα.
Neutral-atom scattering factors, no anomalous dispersion.

Largest 6 diffraction maxima, by angle, 10 to 80 degrees two-theta:
Position (°2θ), I (rel.)
18.62, 400
21.02, 312
32.80, 1000
37.76, 614
44.97, 398
55.14, 274

Structural model:
```
Sr3Ge2SbAu6
1.0
6.6625 0.0000 0.0000
-3.3312 5.7699 0.0000
0.0000 0.0000 8.4516
Sr Ge Sb Au
3 2 1 6
direct
0.0000 0.0000 0.0000 Sr
0.3333 0.6667 0.6635 Sr
0.6667 0.3333 0.3365 Sr
0.3333 0.6667 0.0696 Ge
0.6667 0.3333 0.9304 Ge
0.0000 0.0000 0.5000 Sb
0.1807 0.3614 0.2870 Au
0.1807 0.8193 0.2870 Au
0.3614 0.1807 0.7130 Au
0.6386 0.8193 0.2870 Au
0.8193 0.1807 0.7130 Au
0.8193 0.6386 0.7130 Au
```

***

No. 3
Starting from DFT lattice parameters and positions (GGA-PBE), the X-ray diffraction stick pattern of Ac2Tl3Si was calculated for CuKα.
Neutral-atom scattering factors, no anomalous dispersion.

Largest 6 diffraction maxima, by angle, 10 to 80 degrees two-theta:
Position (°2θ), I (rel.)
29.09, 444
29.27, 1000
35.76, 498
36.19, 276
47.09, 257
56.21, 278

Structural model:
```
Ac2Tl3Si
1.0
4.3158 0.0000 0.0000
0.0000 4.9644 0.0000
0.0000 0.0000 8.7315
Ac Tl Si
2 3 1
direct
0.0000 0.0000 0.0000 Ac
0.0000 0.5000 0.4478 Ac
0.5000 0.0000 0.6165 Tl
0.5000 0.5000 0.1436 Tl
0.5000 0.5000 0.8001 Tl
0.5000 0.0000 0.2977 Si
```

***

No. 4
Starting from DFT lattice parameters and positions (GGA-PBE), the X-ray diffraction stick pattern of KRu2Cl8 was calculated for CuKα.
Neutral-atom scattering factors, no anomalous dispersion.

Largest 6 diffraction maxima, by angle, 10 to 80 degrees two-theta:
Position (°2θ), I (rel.)
11.03, 1000
15.94, 577
21.62, 382
30.87, 212
32.20, 276
37.47, 195

Structural model:
```
KRu2Cl8
1.0
4.9339 0.0000 0.0000
1.0112 7.9980 0.0000
1.1615 0.3314 8.0564
K Ru Cl
1 2 8
direct
0.0000 0.0000 0.0000 K
0.3040 0.3777 0.3787 Ru
0.6960 0.6223 0.6213 Ru
0.2106 0.5902 0.5895 Cl
0.2918 0.1761 0.5862 Cl
0.3036 0.5870 0.1788 Cl
0.4031 0.1749 0.1778 Cl
0.5969 0.8251 0.8222 Cl
0.6964 0.4130 0.8212 Cl
0.7082 0.8239 0.4138 Cl
0.7894 0.4098 0.4105 Cl
```

***

No. 5
Starting from DFT lattice parameters and positions (GGA-PBE), the X-ray diffraction stick pattern of CdHg was calculated for CuKα.
Neutral-atom scattering factors, no anomalous dispersion.

Largest 6 diffraction maxima, by angle, 10 to 80 degrees two-theta:
Position (°2θ), I (rel.)
26.65, 130
30.86, 144
34.61, 1000
38.04, 490
59.71, 398
75.13, 130

Structural model:
```
CdHg
1.0
5.7945 0.0000 0.0000
0.0000 5.7945 0.0000
0.0000 0.0000 5.7945
Cd Hg
4 4
direct
0.0989 0.4011 0.5989 Cd
0.4011 0.5989 0.0989 Cd
0.5989 0.0989 0.4011 Cd
0.9011 0.9011 0.9011 Cd
0.0938 0.9062 0.4062 Hg
0.4062 0.0938 0.9062 Hg
0.5938 0.5938 0.5938 Hg
0.9062 0.4062 0.0938 Hg
```

***

No. 6
Starting from DFT lattice parameters and positions (GGA-PBE), the X-ray diffraction stick pattern of Li2AcErHg4 was calculated for CuKα.
Neutral-atom scattering factors, no anomalous dispersion.

Largest 6 diffraction maxima, by angle, 10 to 80 degrees two-theta:
Position (°2θ), I (rel.)
21.63, 538
33.11, 974
36.18, 1000
38.52, 314
49.85, 315
63.13, 313

Structural model:
```
Li2AcErHg4
1.0
2.4827 1.4334 9.2821
-2.4827 1.4334 9.2821
0.0000 -2.8667 9.2821
Li Ac Er Hg
2 1 1 4
direct
0.2372 0.2372 0.2372 Li
0.7628 0.7628 0.7628 Li
0.0000 0.0000 0.0000 Ac
0.5000 0.5000 0.5000 Er
0.1251 0.1251 0.1251 Hg
0.3924 0.3924 0.3924 Hg
0.6076 0.6076 0.6076 Hg
0.8749 0.8749 0.8749 Hg
```

***

No. 7
Starting from DFT lattice parameters and positions (GGA-PBE), the X-ray diffraction stick pattern of Tm2Zn2Pd5 was calculated for CuKα.
Neutral-atom scattering factors, no anomalous dispersion.

Largest 6 diffraction maxima, by angle, 10 to 80 degrees two-theta:
Position (°2θ), I (rel.)
30.53, 337
34.10, 819
38.88, 641
39.88, 1000
41.51, 205
47.30, 238

Structural model:
```
Tm2Zn2Pd5
1.0
-2.9024 7.6863 3.6043
2.9024 -7.6863 3.6043
2.9024 7.6863 -3.6043
Tm Zn Pd
4 4 10
direct
0.0000 0.0000 0.0000 Tm
0.2982 0.0482 0.2500 Tm
0.5000 0.0000 0.5000 Tm
0.7018 0.9518 0.7500 Tm
0.0413 0.4642 0.5771 Zn
0.3871 0.4642 0.9229 Zn
0.6129 0.5358 0.0771 Zn
0.9587 0.5358 0.4229 Zn
0.0912 0.0000 0.5912 Pd
0.0912 0.5000 0.0912 Pd
0.2967 0.5466 0.7500 Pd
0.3617 0.0000 0.8617 Pd
0.3617 0.5000 0.3617 Pd
0.6383 0.0000 0.1383 Pd
0.6383 0.5000 0.6383 Pd
0.7034 0.4534 0.2500 Pd
0.9088 0.0000 0.4088 Pd
0.9088 0.5000 0.9088 Pd
```

***

What is the formula in the second record? Sr3Ge2SbAu6

***

What is the formula in the fifth record? CdHg